Structure and calculated X-ray diffraction stick pattern of Mg16MnAl12 (DFT lattice parameters and positions (PBE); copper Kα).

Peak list (12 most intense, 2θ from 5° to 70°, in order of rising 2θ)
2θ/deg, I/Imax
11.93, 9
31.93, 4
34.20, 5
36.34, 100
40.33, 26
42.21, 12
44.02, 12
47.48, 4
61.23, 5
62.63, 8
65.39, 26
66.74, 5

Structure:
```
Mg16MnAl12
1.0
-5.244 5.244 5.244
5.244 -5.244 5.244
5.244 5.244 -5.244
Mg Mn Al
16 1 12
direct
0.000 0.000 0.664
0.000 0.399 0.685
0.000 0.664 0.000
0.000 0.685 0.399
0.286 0.601 0.601
0.315 0.315 0.714
0.315 0.714 0.315
0.336 0.336 0.336
0.399 0.000 0.685
0.399 0.685 0.000
0.601 0.286 0.601
0.601 0.601 0.286
0.664 0.000 0.000
0.685 0.000 0.399
0.685 0.399 0.000
0.714 0.315 0.315
0.000 0.000 0.000
0.000 0.184 0.364
0.000 0.364 0.184
0.180 0.816 0.816
0.184 0.000 0.364
0.184 0.364 0.000
0.364 0.000 0.184
0.364 0.184 0.000
0.636 0.636 0.820
0.636 0.820 0.636
0.816 0.180 0.816
0.816 0.816 0.180
0.820 0.636 0.636
```